Starting from a PBE-relaxed structure, the powder X-ray diffraction pattern of Ta3Mo5 was computed for CuKα.

Structure:
a b c (Å): 3.220 4.494 18.382
angles (deg): 90.00 90.00 90.00
Fractional positions:
1 Ta 0.000 0.000 0.000
2 Ta 0.000 0.500 0.372
3 Ta 0.000 0.500 0.628
4 Ta 0.500 0.000 0.128
5 Ta 0.500 0.000 0.872
6 Ta 0.500 0.500 0.500
7 Mo 0.000 0.000 0.252
8 Mo 0.000 0.000 0.500
9 Mo 0.000 0.000 0.748
10 Mo 0.000 0.500 0.126
11 Mo 0.000 0.500 0.874
12 Mo 0.500 0.000 0.374
13 Mo 0.500 0.000 0.626
14 Mo 0.500 0.500 0.000
15 Mo 0.500 0.500 0.248
16 Mo 0.500 0.500 0.752

Most intense lines, 2θ = 10–90°, by intensity:
| 2θ (°) | I/Imax |
| --- | --- |
| 39.63 | 100 |
| 39.21 | 26 |
| 40.13 | 24 |
| 72.58 | 17 |
| 71.34 | 17 |
| 57.35 | 17 |
| 85.36 | 11 |
| 20.34 | 9 |
| 71.56 | 9 |
| 72.18 | 8 |
| 57.22 | 8 |
| 31.38 | 4 |

---

Starting from a PBE-relaxed structure, the powder X-ray diffraction pattern of Th3B2AsRh9 was computed for CuKα.

Structure:
a b c (Å): 5.904 5.904 8.457
angles (deg): 90.00 90.00 120.00
Fractional positions:
1 Th 0.000 0.000 0.000
2 Th 0.333 0.667 0.662
3 Th 0.667 0.333 0.338
4 B 0.333 0.667 0.149
5 B 0.667 0.333 0.851
6 As 0.000 0.000 0.500
7 Rh 0.000 0.500 0.000
8 Rh 0.165 0.331 0.289
9 Rh 0.165 0.835 0.289
10 Rh 0.331 0.165 0.711
11 Rh 0.500 0.000 0.000
12 Rh 0.500 0.500 0.000
13 Rh 0.669 0.835 0.289
14 Rh 0.835 0.165 0.711
15 Rh 0.835 0.669 0.711

Most intense lines, 2θ = 10–90°, by intensity:
| 2θ (°) | I/Imax |
| --- | --- |
| 36.72 | 100 |
| 41.27 | 87 |
| 31.74 | 37 |
| 62.97 | 26 |
| 56.48 | 23 |
| 27.37 | 21 |
| 72.25 | 21 |
| 30.28 | 14 |
| 66.26 | 14 |
| 78.11 | 13 |
| 75.17 | 12 |
| 20.30 | 12 |

---

Starting from a PBE-relaxed structure, the powder X-ray diffraction pattern of K2Sn2H7 was computed for CuKα.

Structure:
a b c (Å): 4.718 6.207 6.437
angles (deg): 102.37 98.10 94.11
Fractional positions:
1 K 0.223 0.254 0.024
2 K 0.777 0.746 0.976
3 Sn 0.341 0.786 0.476
4 Sn 0.659 0.214 0.524
5 H 0.038 0.222 0.596
6 H 0.267 0.820 0.779
7 H 0.342 0.686 0.166
8 H 0.500 0.500 0.500
9 H 0.658 0.314 0.834
10 H 0.733 0.180 0.221
11 H 0.962 0.778 0.404

Most intense lines, 2θ = 10–90°, by intensity:
| 2θ (°) | I/Imax |
| --- | --- |
| 14.27 | 100 |
| 26.94 | 96 |
| 28.77 | 76 |
| 27.24 | 75 |
| 29.63 | 70 |
| 25.81 | 64 |
| 21.98 | 52 |
| 32.35 | 44 |
| 46.54 | 39 |
| 22.90 | 30 |
| 19.11 | 29 |
| 36.53 | 27 |

---

Starting from a PBE-relaxed structure, the powder X-ray diffraction pattern of La2Nd2Ga4Cu was computed for CuKα.

Structure:
a b c (Å): 6.718 6.718 6.718
angles (deg): 115.67 115.67 97.68
Fractional positions:
1 La 0.250 0.750 0.500
2 La 0.750 0.250 0.500
3 Nd 0.185 0.185 0.000
4 Nd 0.815 0.815 0.000
5 Ga 0.265 0.265 0.530
6 Ga 0.265 0.735 0.000
7 Ga 0.735 0.265 0.000
8 Ga 0.735 0.735 0.470
9 Cu 0.500 0.500 0.000

Most intense lines, 2θ = 10–90°, by intensity:
| 2θ (°) | I/Imax |
| --- | --- |
| 32.19 | 100 |
| 35.50 | 68 |
| 61.67 | 29 |
| 32.86 | 27 |
| 24.90 | 24 |
| 51.08 | 23 |
| 41.67 | 20 |
| 55.19 | 16 |
| 55.86 | 15 |
| 40.82 | 10 |
| 77.27 | 10 |
| 85.95 | 10 |

---

Starting from a PBE-relaxed structure, the powder X-ray diffraction pattern of Pr6SnS4 was computed for CuKα.

Structure:
a b c (Å): 7.104 7.104 20.898
angles (deg): 90.00 90.00 145.37
Fractional positions:
1 Pr 0.000 0.000 0.000
2 Pr 0.000 0.000 0.500
3 Pr 0.167 0.833 0.750
4 Pr 0.270 0.730 0.083
5 Pr 0.270 0.730 0.417
6 Pr 0.461 0.539 0.658
7 Pr 0.461 0.539 0.842
8 Pr 0.539 0.461 0.158
9 Pr 0.539 0.461 0.342
10 Pr 0.730 0.270 0.583
11 Pr 0.730 0.270 0.917
12 Pr 0.833 0.167 0.250
13 Sn 0.158 0.842 0.250
14 Sn 0.842 0.158 0.750
15 S 0.097 0.903 0.623
16 S 0.097 0.903 0.877
17 S 0.363 0.637 0.539
18 S 0.363 0.637 0.961
19 S 0.637 0.363 0.039
20 S 0.637 0.363 0.461
21 S 0.903 0.097 0.123
22 S 0.903 0.097 0.377

Most intense lines, 2θ = 10–90°, by intensity:
| 2θ (°) | I/Imax |
| --- | --- |
| 28.82 | 100 |
| 30.18 | 98 |
| 27.93 | 55 |
| 31.69 | 37 |
| 52.39 | 36 |
| 29.24 | 34 |
| 42.77 | 33 |
| 43.25 | 25 |
| 25.51 | 24 |
| 52.90 | 21 |
| 41.16 | 20 |
| 45.26 | 17 |

---

Starting from a PBE-relaxed structure, the powder X-ray diffraction pattern of LaBr2 was computed for CuKα.

Structure:
a b c (Å): 14.896 4.010 8.204
angles (deg): 90.00 121.89 90.00
Fractional positions:
1 La 0.000 0.000 0.000
2 La 0.152 0.500 0.523
3 La 0.500 0.500 0.000
4 La 0.652 0.000 0.523
5 Br 0.074 0.000 0.704
6 Br 0.179 0.500 0.186
7 Br 0.340 0.000 0.685
8 Br 0.427 0.000 0.190
9 Br 0.574 0.500 0.704
10 Br 0.679 0.000 0.186
11 Br 0.840 0.500 0.685
12 Br 0.927 0.500 0.190

Most intense lines, 2θ = 10–90°, by intensity:
| 2θ (°) | I/Imax |
| --- | --- |
| 30.77 | 100 |
| 32.14 | 78 |
| 13.02 | 72 |
| 28.37 | 52 |
| 42.20 | 51 |
| 33.73 | 46 |
| 36.91 | 41 |
| 14.00 | 40 |
| 49.07 | 35 |
| 45.22 | 30 |
| 24.71 | 29 |
| 38.29 | 27 |